Diffraction record for ZnSiO3. The powder X-ray diffraction pattern is computed, not measured: it uses DFT lattice parameters and positions (GGA-PBE) and Cu Kα (weighted mean of Kα1 and Kα2).
Kinematic intensities with the Lorentz-polarization factor, no thermal factor.

Principal peaks in the range 2θ = 10–90°, in order of rising 2θ:
13.86°, d 6.390, I 573; 19.50°, d 4.552, I 726; 27.93°, d 3.195, I 446; 29.54°, d 3.024, I 1000; 31.11°, d 2.874, I 672; 34.77°, d 2.580, I 904; 36.51°, d 2.461, I 617; 42.08°, d 2.147, I 664; 56.76°, d 1.622, I 360; 68.23°, d 1.374, I 407

Cell and atoms:
```
data_ZnSiO3
_space_group_name_H-M_alt 'P 1 21/c 1'
_space_group_IT_number 14
_space_group_name_Hall '-P 2ybc'
_cell_length_a 9.3190
_cell_length_b 8.9715
_cell_length_c 5.2231
_cell_angle_alpha 90.00
_cell_angle_beta 102.35
_cell_angle_gamma 90.00
loop_
_atom_site_label
_atom_site_fract_x
_atom_site_fract_y
_atom_site_fract_z
_atom_site_occupancy
Zn1 0.2450 0.0035 0.4661 1
Zn2 0.2488 0.6512 0.4739 1
Si1 0.0569 0.1661 0.8171 1
Si2 0.4536 0.1609 0.2466 1
O1 0.1079 0.1972 0.1382 1
O2 0.1224 0.6626 0.7515 1
O3 0.1352 0.0171 0.7427 1
O4 0.3678 0.6639 0.1911 1
O5 0.3806 0.5028 0.7186 1
O6 0.3896 0.2351 0.4892 1
```